For Ta2SnO4, the GGA-PBE geometry in Alexandria gives the simulated powder X-ray diffraction pattern in this record (Cu Ka).
Kinematic intensities with the Lorentz-polarization factor, no thermal factor.

Top 10 peaks for 2θ = 5–70°, in order of rising 2θ:
10.11°, I = 86, hkl 0 0 2; 20.31°, I = 100, hkl 0 0 4; 23.05°, I = 52, hkl 1 0 1; 31.99°, I = 76, hkl 1 1 0; 33.63°, I = 40, hkl 1 1 2; 34.21°, I = 47, hkl 1 0 5; 38.19°, I = 59, hkl 1 1 4; 45.87°, I = 36, hkl 2 0 0; 50.64°, I = 37, hkl 2 0 4; 52.45°, I = 31, hkl 1 0 9

Unit cell a=3.957 b=3.957 c=17.491 alpha=90.00 beta=90.00 gamma=90.00
Space group I4/mmm (No. 139)
Unique sites:
1 Ta 0.000 0.000 0.232 (multiplicity 4)
2 Sn 0.000 0.000 0.000 (multiplicity 2)
3 O 0.000 0.000 0.132 (multiplicity 4)
4 O 0.000 0.500 0.000 (multiplicity 4)